Structure and computed X-ray powder pattern of LiCdW2O8 (the GGA+U geometry in Alexandria; a wavelength of 1.5418 Å).

Most intense lines, 2θ from 10° to 90°, by angle:
| 2θ (°) | I_rel |
| --- | --- |
| 17.6 | 54 |
| 25.0 | 67 |
| 30.8 | 100 |
| 35.6 | 20 |
| 47.8 | 58 |
| 51.3 | 12 |
| 61.0 | 17 |
| 72.7 | 15 |

Crystal structure
abc: 6.166 6.166 6.166
angles: 109.39 109.39 109.63
Atoms (fractional coordinates):
1 Li 0.000 0.000 0.000
2 Cd 0.750 0.250 0.500
3 W 0.250 0.750 0.500
4 W 0.500 0.500 0.000
5 O 0.101 0.393 0.291
6 O 0.101 0.810 0.709
7 O 0.145 0.351 0.794
8 O 0.190 0.899 0.291
9 O 0.557 0.351 0.206
10 O 0.607 0.899 0.709
11 O 0.649 0.443 0.794
12 O 0.649 0.855 0.206